Structure and computed X-ray powder pattern of Li2Mn2FeO6 (a structure optimized by DFT (GGA+U); Cu Kα, 1.54184 Å).

Structural model:
```
Li2Mn2FeO6
1.0
2.619 -4.416 0.000
2.619 4.416 0.000
0.000 0.000 10.280
Li Mn Fe O
4 4 2 12
direct
0.115 0.115 0.000
0.371 0.371 0.500
0.629 0.629 0.000
0.885 0.885 0.500
0.080 0.920 0.250
0.407 0.593 0.250
0.593 0.407 0.750
0.920 0.080 0.750
0.251 0.749 0.750
0.749 0.251 0.250
0.061 0.212 0.361
0.081 0.596 0.154
0.212 0.061 0.639
0.257 0.400 0.850
0.400 0.257 0.150
0.404 0.919 0.346
0.596 0.081 0.846
0.600 0.743 0.650
0.743 0.600 0.350
0.788 0.939 0.139
0.919 0.404 0.654
0.939 0.788 0.861
```

Peak list (6 most intense, 15° ≤ 2θ ≤ 90°, by intensity)
2theta, d (Å), Rel. int.
17.3, 5.140, 100
44.1, 2.054, 32
36.1, 2.490, 27
57.4, 1.605, 18
38.6, 2.334, 17
62.5, 1.486, 15